Structure and theoretical powder XRD pattern of Nd2Mg9Sc (DFT lattice parameters and positions (PBE); Cu Kα).
Intensities are scaled so that the largest is 100.

The 8 most intense peaks (2θ from 5° to 70°), most intense first:
- 9.03 deg, rel. 100.0
- 34.92 deg, rel. 96.6
- 27.25 deg, rel. 82.7
- 29.60 deg, rel. 81.8
- 20.86 deg, rel. 54.5
- 29.73 deg, rel. 46.1
- 56.00 deg, rel. 43.4
- 34.46 deg, rel. 40.4

Structure:
abc: 10.3971 10.3971 10.3971
angles: 33.74 33.74 33.74
Element x y z (fractional)
Nd 0.1414 0.1414 0.1414
Nd 0.8586 0.8586 0.8586
Mg 0.0792 0.5845 0.5845
Mg 0.3339 0.3339 0.3339
Mg 0.4155 0.4155 0.9208
Mg 0.4155 0.9208 0.4155
Mg 0.5000 0.5000 0.5000
Mg 0.5845 0.0792 0.5845
Mg 0.5845 0.5845 0.0792
Mg 0.6661 0.6661 0.6661
Mg 0.9208 0.4155 0.4155
Sc 0.0000 0.0000 0.0000



Structure and theoretical powder XRD pattern of Tl10Te4Cl (DFT lattice parameters and positions (PBE); Cu Kα).
Intensities are scaled so that the largest is 100.

The 8 most intense peaks (2θ from 5° to 70°), most intense first:
- 32.48 deg, rel. 100.0
- 32.00 deg, rel. 52.3
- 22.48 deg, rel. 45.7
- 57.34 deg, rel. 36.4
- 39.86 deg, rel. 20.5
- 23.13 deg, rel. 19.3
- 45.89 deg, rel. 18.7
- 58.24 deg, rel. 16.9

Structure:
abc: 9.6440 9.6440 9.6440
angles: 99.15 99.15 133.01
Element x y z (fractional)
Tl 0.0337 0.1254 0.6950
Tl 0.1254 0.4304 0.0918
Tl 0.2500 0.7500 0.5000
Tl 0.3387 0.0337 0.9082
Tl 0.4304 0.3387 0.3050
Tl 0.5696 0.6613 0.6950
Tl 0.6613 0.9663 0.0918
Tl 0.7500 0.2500 0.5000
Tl 0.8746 0.5696 0.9082
Tl 0.9663 0.8746 0.3050
Te 0.2138 0.5826 0.7964
Te 0.4174 0.2138 0.6312
Te 0.5826 0.7862 0.3688
Te 0.7862 0.4174 0.2036
Cl 0.0000 0.0000 0.0000



Structure and theoretical powder XRD pattern of NaAs3Rh5 (DFT lattice parameters and positions (PBE); Cu Kα).
Intensities are scaled so that the largest is 100.

The 8 most intense peaks (2θ from 5° to 70°), most intense first:
- 14.33 deg, rel. 100.0
- 15.52 deg, rel. 92.3
- 37.49 deg, rel. 69.7
- 44.39 deg, rel. 67.2
- 43.66 deg, rel. 61.4
- 45.55 deg, rel. 60.8
- 41.78 deg, rel. 54.5
- 32.02 deg, rel. 48.7

Structure:
abc: 6.7371 6.7371 12.3621
angles: 90.00 90.00 145.61
Element x y z (fractional)
Na 0.1792 0.8208 0.7500
Na 0.8208 0.1792 0.2500
As 0.1043 0.8957 0.2500
As 0.3834 0.6166 0.0502
As 0.3834 0.6166 0.4498
As 0.6166 0.3834 0.5502
As 0.6166 0.3834 0.9498
As 0.8957 0.1043 0.7500
Rh 0.0000 0.0000 0.0000
Rh 0.0000 0.0000 0.5000
Rh 0.2012 0.7988 0.0687
Rh 0.2012 0.7988 0.4313
Rh 0.4393 0.5607 0.6388
Rh 0.4393 0.5607 0.8612
Rh 0.5607 0.4393 0.1388
Rh 0.5607 0.4393 0.3612
Rh 0.7988 0.2012 0.5687
Rh 0.7988 0.2012 0.9313



Structure and theoretical powder XRD pattern of LiTl2In2Hg7 (DFT lattice parameters and positions (PBE); Cu Kα).
Intensities are scaled so that the largest is 100.

The 8 most intense peaks (2θ from 5° to 70°), most intense first:
- 40.87 deg, rel. 100.0
- 29.07 deg, rel. 73.7
- 36.11 deg, rel. 55.6
- 33.01 deg, rel. 51.6
- 32.72 deg, rel. 49.1
- 31.56 deg, rel. 38.4
- 59.17 deg, rel. 32.8
- 35.75 deg, rel. 31.0

Structure:
abc: 4.4170 4.4170 16.6453
angles: 96.71 96.71 90.05
Element x y z (fractional)
Li 0.0000 0.0000 0.0000
Tl 0.1444 0.1444 0.3383
Tl 0.8556 0.8556 0.6617
In 0.3844 0.3844 0.7178
In 0.6156 0.6156 0.2822
Hg 0.0580 0.5587 0.1415
Hg 0.2656 0.2656 0.5295
Hg 0.4413 0.9420 0.8585
Hg 0.5000 0.5000 0.0000
Hg 0.5587 0.0580 0.1415
Hg 0.7344 0.7344 0.4705
Hg 0.9420 0.4413 0.8585



Structure and theoretical powder XRD pattern of Ta2Ni3B2 (DFT lattice parameters and positions (PBE); Cu Kα).
Intensities are scaled so that the largest is 100.

The 8 most intense peaks (2θ from 5° to 70°), most intense first:
- 40.73 deg, rel. 100.0
- 44.27 deg, rel. 92.9
- 34.00 deg, rel. 55.8
- 44.02 deg, rel. 50.2
- 27.12 deg, rel. 41.7
- 41.26 deg, rel. 40.3
- 50.52 deg, rel. 29.4
- 29.46 deg, rel. 26.8

Structure:
abc: 7.9892 7.9892 3.2874
angles: 90.00 90.00 157.96
Element x y z (fractional)
Ta 0.1668 0.8332 0.0000
Ta 0.8332 0.1668 0.0000
Ni 0.0000 0.0000 0.0000
Ni 0.4230 0.5770 0.5000
Ni 0.5770 0.4230 0.5000
B 0.2797 0.7203 0.5000
B 0.7203 0.2797 0.5000



Structure and theoretical powder XRD pattern of CaLaZnNi (DFT lattice parameters and positions (PBE); Cu Kα).
Intensities are scaled so that the largest is 100.

The 8 most intense peaks (2θ from 5° to 70°), most intense first:
- 32.01 deg, rel. 100.0
- 38.62 deg, rel. 83.4
- 31.31 deg, rel. 50.8
- 14.83 deg, rel. 47.7
- 37.47 deg, rel. 33.8
- 29.92 deg, rel. 27.0
- 44.16 deg, rel. 24.4
- 44.94 deg, rel. 23.1

Structure:
abc: 4.0338 6.3142 6.3142
angles: 37.91 90.00 90.00
Element x y z (fractional)
Ca 0.0000 0.0000 0.0000
La 0.5000 0.2833 0.2833
Zn 0.5000 0.5838 0.5838
Ni 0.0000 0.7236 0.7236



Structure and theoretical powder XRD pattern of Tb4B6Ir7 (DFT lattice parameters and positions (PBE); Cu Kα).
Intensities are scaled so that the largest is 100.

The 8 most intense peaks (2θ from 5° to 70°), most intense first:
- 38.90 deg, rel. 100.0
- 27.24 deg, rel. 89.7
- 45.23 deg, rel. 76.5
- 42.16 deg, rel. 62.2
- 65.88 deg, rel. 48.9
- 31.55 deg, rel. 22.0
- 15.63 deg, rel. 22.0
- 63.54 deg, rel. 18.6

Structure:
abc: 6.9451 6.9451 6.9451
angles: 109.47 109.47 109.47
Element x y z (fractional)
Tb 0.0000 0.0000 0.5000
Tb 0.0000 0.5000 0.0000
Tb 0.5000 0.0000 0.0000
Tb 0.5000 0.5000 0.5000
B 0.0000 0.3703 0.3703
B 0.0000 0.6297 0.6297
B 0.3703 0.0000 0.3703
B 0.3703 0.3703 0.0000
B 0.6297 0.0000 0.6297
B 0.6297 0.6297 0.0000
Ir 0.0000 0.0000 0.0000
Ir 0.2500 0.5000 0.7500
Ir 0.2500 0.7500 0.5000
Ir 0.5000 0.2500 0.7500
Ir 0.5000 0.7500 0.2500
Ir 0.7500 0.2500 0.5000
Ir 0.7500 0.5000 0.2500



Structure and theoretical powder XRD pattern of Tl2S (DFT lattice parameters and positions (PBE); Cu Kα).
Intensities are scaled so that the largest is 100.

The 8 most intense peaks (2θ from 5° to 70°), most intense first:
- 28.40 deg, rel. 100.0
- 52.48 deg, rel. 34.2
- 43.13 deg, rel. 21.9
- 37.93 deg, rel. 20.8
- 28.50 deg, rel. 19.6
- 50.41 deg, rel. 19.6
- 24.50 deg, rel. 15.7
- 31.83 deg, rel. 6.2

Structure:
abc: 7.2656 7.2656 6.2640
angles: 90.00 90.00 120.00
Element x y z (fractional)
Tl 0.0020 0.6377 0.0000
Tl 0.3021 0.0018 0.5280
Tl 0.3623 0.3643 0.0000
Tl 0.6357 0.9980 0.0000
Tl 0.6997 0.6979 0.5280
Tl 0.9982 0.3003 0.5280
S 0.0000 0.0000 0.1915
S 0.3333 0.6667 0.3025
S 0.6667 0.3333 0.2959